This entry pairs a crystal structure of LiInAu6 with its theoretical X-ray diffraction stick pattern. Radiation: a wavelength of 1.5418 Å. Structure: a crystal structure in Alexandria, relaxed with GGA-PBE.

Top 10 peaks for 2θ = 5–70°, in order of rising 2θ:
(1 0 0), 2θ = 17.50°, intensity 7; (1 0 1), 2θ = 25.42°, intensity 16; (1 1 0), 2θ = 30.55°, intensity 6; (2 0 0), 2θ = 35.42°, intensity 24; (0 0 2), 2θ = 37.07°, intensity 28; (2 0 1), 2θ = 40.15°, intensity 100; (2 1 1), 2θ = 51.28°, intensity 4; (2 0 2), 2θ = 52.21°, intensity 16; (2 2 0), 2θ = 63.60°, intensity 17; (2 0 3), 2θ = 68.89°, intensity 21

Atomic structure:
```
data_LiInAu6
_chemical_formula_sum 'Li1 In1 Au6'
_cell_length_a 5.8522
_cell_length_b 5.8522
_cell_length_c 4.8499
_cell_angle_alpha 90.00
_cell_angle_beta 90.00
_cell_angle_gamma 120.00
_symmetry_space_group_name_H-M 'P -6 m 2'
_symmetry_Int_Tables_number 187
_symmetry_space_group_name_Hall 'P -6 2'
loop_
_atom_site_label
_atom_site_type_symbol
_atom_site_fract_x
_atom_site_fract_y
_atom_site_fract_z
Li1 Li 0.0000 0.0000 0.0000
In1 In 0.6667 0.3333 0.5000
Au1 Au 0.0014 0.5007 0.0000
Au2 Au 0.1645 0.3290 0.5000
```


This entry pairs a crystal structure of Li3In2Au6 with its theoretical X-ray diffraction stick pattern. Radiation: a wavelength of 1.5418 Å. Structure: a crystal structure in Alexandria, relaxed with GGA-PBE.

Top 10 peaks for 2θ = 5–70°, in order of rising 2θ:
(0 0 6), 2θ = 21.39°, intensity 36; (1 1 2), 2θ = 31.58°, intensity 100; (1 0 7), 2θ = 33.28°, intensity 8; (0 0 10), 2θ = 36.04°, intensity 24; (1 1 8), 2θ = 42.52°, intensity 74; (2 0 0), 2θ = 44.02°, intensity 41; (2 0 6), 2θ = 49.44°, intensity 17; (2 0 10), 2θ = 58.15°, intensity 24; (2 2 0), 2θ = 64.01°, intensity 13; (2 2 6), 2θ = 68.32°, intensity 10

Atomic structure:
```
data_Li3In2Au6
_chemical_formula_sum 'Li6 In4 Au12'
_cell_length_a 4.1141
_cell_length_b 4.1141
_cell_length_c 24.9220
_cell_angle_alpha 90.00
_cell_angle_beta 90.00
_cell_angle_gamma 90.00
_symmetry_space_group_name_H-M 'I 4/m m m'
_symmetry_Int_Tables_number 139
_symmetry_space_group_name_Hall '-I 4 2'
loop_
_atom_site_label
_atom_site_type_symbol
_atom_site_fract_x
_atom_site_fract_y
_atom_site_fract_z
Li1 Li 0.0000 0.0000 0.0000
Li2 Li 0.0000 0.0000 0.1368
In1 In 0.0000 0.0000 0.3537
Au1 Au 0.0000 0.0000 0.2450
Au2 Au 0.0000 0.5000 0.0623
```